Structure and simulated PXRD pattern of Pr2GaCo (a crystal structure in Alexandria, relaxed with PBE; Cu Kα (λ = 1.5418 Å)).

Peak list (10 most intense, 5° ≤ 2θ ≤ 70°, by intensity)
| 2theta | I/Imax | index |
| --- | --- | --- |
| 34.08 | 1000 | 2 0 2 |
| 28.28 | 804 | 1 1 -2 |
| 52.51 | 575 | 2 2 2 |
| 33.09 | 533 | 3 1 0 |
| 38.71 | 352 | 0 2 0 |
| 21.07 | 318 | 1 1 0 |
| 42.09 | 277 | 2 0 -4 |
| 54.56 | 260 | 1 1 4 |
| 33.60 | 220 | 1 1 2 |
| 58.51 | 206 | 2 2 -4 |

```
data_Pr2GaCo
_chemical_formula_sum 'Pr8 Ga4 Co4'
_cell_length_a 10.8707
_cell_length_b 4.6522
_cell_length_c 8.5871
_cell_angle_alpha 90.00
_cell_angle_beta 113.28
_cell_angle_gamma 90.00
_symmetry_space_group_name_H-M 'C 1 2/c 1'
_symmetry_Int_Tables_number 15
_symmetry_space_group_name_Hall '-C 2yc'
loop_
_atom_site_label
_atom_site_type_symbol
_atom_site_fract_x
_atom_site_fract_y
_atom_site_fract_z
_atom_site_occupancy
Pr1 Pr 0.1686 0.9999 0.0843 1
Ga1 Ga 0.0000 0.4992 0.2500 1
Co1 Co 0.0000 0.0008 0.7500 1
```